No. 1
For Dy2Ga5Ru2Rh, the PBE geometry in Alexandria gives the simulated powder XRD pattern in this record (Cu Ka).

```
Dy2Ga5Ru2Rh
1.0
10.5103 0.0000 0.0000
0.0000 10.5103 0.0000
0.0000 0.0000 3.1837
Dy Ga Ru Rh
4 10 4 2
direct
0.1819 0.3181 0.0000
0.3181 0.8181 0.0000
0.6819 0.1819 0.0000
0.8181 0.6819 0.0000
0.0000 0.5000 0.5000
0.0538 0.8092 0.5000
0.1908 0.0538 0.5000
0.3092 0.5538 0.5000
0.4462 0.3092 0.5000
0.5000 0.0000 0.5000
0.5538 0.6908 0.5000
0.6908 0.4462 0.5000
0.8092 0.9462 0.5000
0.9462 0.1908 0.5000
0.1288 0.6288 0.0000
0.3712 0.1288 0.0000
0.6288 0.8712 0.0000
0.8712 0.3712 0.0000
0.0000 0.0000 0.0000
0.5000 0.5000 0.0000
```

Most intense lines, 15° ≤ 2θ ≤ 90°, by angle:
- 2θ 26.82, rel. 155
- 2θ 32.89, rel. 116
- 2θ 35.21, rel. 538
- 2θ 36.26, rel. 322
- 2θ 37.19, rel. 256
- 2θ 39.18, rel. 1000
- 2θ 42.03, rel. 339
- 2θ 52.20, rel. 150
- 2θ 57.93, rel. 150
- 2θ 58.90, rel. 107
- 2θ 61.01, rel. 157
- 2θ 69.64, rel. 145

=====

No. 2
For Dy2GaSn2Rh5, the PBE geometry in Alexandria gives the simulated powder XRD pattern in this record (Cu Ka).

```
Dy2GaSn2Rh5
1.0
10.6481 0.0000 0.0000
0.0000 10.6481 0.0000
0.0000 0.0000 3.2621
Dy Ga Sn Rh
4 2 4 10
direct
0.1641 0.3359 0.0000
0.3359 0.8359 0.0000
0.6641 0.1641 0.0000
0.8359 0.6641 0.0000
0.0000 0.0000 0.0000
0.5000 0.5000 0.0000
0.1391 0.6391 0.0000
0.3609 0.1391 0.0000
0.6391 0.8609 0.0000
0.8609 0.3609 0.0000
0.0000 0.5000 0.5000
0.0310 0.8050 0.5000
0.1950 0.0310 0.5000
0.3050 0.5310 0.5000
0.4690 0.3050 0.5000
0.5000 0.0000 0.5000
0.5310 0.6950 0.5000
0.6950 0.4690 0.5000
0.8050 0.9690 0.5000
0.9690 0.1950 0.5000
```

Most intense lines, 15° ≤ 2θ ≤ 90°, by angle:
- 2θ 32.18, rel. 151
- 2θ 34.74, rel. 217
- 2θ 35.78, rel. 598
- 2θ 36.44, rel. 196
- 2θ 38.42, rel. 1000
- 2θ 41.23, rel. 112
- 2θ 43.90, rel. 379
- 2θ 51.49, rel. 195
- 2θ 56.42, rel. 179
- 2θ 68.62, rel. 185
- 2θ 73.72, rel. 237
- 2θ 79.88, rel. 118

=====

No. 3
For Dy2Ga9Ru3, the PBE geometry in Alexandria gives the simulated powder XRD pattern in this record (Cu Ka).

```
Dy2Ga9Ru3
1.0
6.4515 -3.7838 0.0000
6.4515 3.7838 0.0000
0.0000 0.0000 9.7161
Dy Ga Ru
4 18 6
direct
0.0019 0.6746 0.7500
0.3254 0.9981 0.7500
0.6746 0.0019 0.2500
0.9981 0.3254 0.2500
0.0087 0.6627 0.0765
0.0087 0.6627 0.4235
0.1320 0.8680 0.2500
0.3373 0.9913 0.0765
0.3373 0.9913 0.4235
0.3381 0.6619 0.5617
0.3381 0.6619 0.9383
0.3391 0.4458 0.2500
0.4458 0.3391 0.7500
0.5542 0.6609 0.2500
0.6609 0.5542 0.7500
0.6619 0.3381 0.0617
0.6619 0.3381 0.4383
0.6627 0.0087 0.5765
0.6627 0.0087 0.9235
0.8680 0.1320 0.7500
0.9913 0.3373 0.5765
0.9913 0.3373 0.9235
0.0000 0.0000 0.0000
0.0000 0.0000 0.5000
0.3237 0.3237 0.0000
0.3237 0.3237 0.5000
0.6763 0.6763 0.0000
0.6763 0.6763 0.5000
```

Most intense lines, 15° ≤ 2θ ≤ 90°, by angle:
- 2θ 30.16, rel. 183
- 2θ 36.52, rel. 470
- 2θ 36.71, rel. 1000
- 2θ 37.01, rel. 290
- 2θ 37.80, rel. 192
- 2θ 40.91, rel. 157
- 2θ 41.38, rel. 148
- 2θ 41.50, rel. 801
- 2θ 42.01, rel. 383
- 2θ 56.84, rel. 356
- 2θ 72.33, rel. 161
- 2θ 72.68, rel. 165

=====

No. 4
For Dy4Ga12Ru, the PBE geometry in Alexandria gives the simulated powder XRD pattern in this record (Cu Ka).

```
Dy4Ga12Ru
1.0
-4.3083 4.3083 4.3083
4.3083 -4.3083 4.3083
4.3083 4.3083 -4.3083
Dy Ga Ru
4 12 1
direct
0.0000 0.0000 0.5000
0.0000 0.5000 0.0000
0.5000 0.0000 0.0000
0.5000 0.5000 0.5000
0.0000 0.2904 0.2904
0.0000 0.7096 0.7096
0.2500 0.5000 0.7500
0.2500 0.7500 0.5000
0.2904 0.0000 0.2904
0.2904 0.2904 0.0000
0.5000 0.2500 0.7500
0.5000 0.7500 0.2500
0.7096 0.0000 0.7096
0.7096 0.7096 0.0000
0.7500 0.2500 0.5000
0.7500 0.5000 0.2500
0.0000 0.0000 0.0000
```

Most intense lines, 15° ≤ 2θ ≤ 90°, by angle:
- 2θ 20.62, rel. 80
- 2θ 29.32, rel. 330
- 2θ 36.11, rel. 1000
- 2θ 39.12, rel. 89
- 2θ 41.94, rel. 642
- 2θ 49.62, rel. 67
- 2θ 51.99, rel. 101
- 2θ 60.81, rel. 384
- 2θ 68.92, rel. 91
- 2θ 72.81, rel. 312
- 2θ 76.61, rel. 117
- 2θ 84.06, rel. 86

=====

No. 5
For Dy7GaS5, the PBE geometry in Alexandria gives the simulated powder XRD pattern in this record (Cu Ka).

```
Dy7GaS5
1.0
3.8969 0.0000 0.0000
0.0000 23.3109 0.0000
-1.9390 0.0000 6.4644
Dy Ga S
14 2 10
direct
0.0260 0.2500 0.0520
0.1372 0.5359 0.2745
0.1372 0.9641 0.2745
0.3170 0.1762 0.6343
0.3170 0.3238 0.6343
0.4085 0.6114 0.8164
0.4085 0.8886 0.8164
0.5915 0.1114 0.1836
0.5915 0.3886 0.1836
0.6830 0.6762 0.3657
0.6830 0.8238 0.3657
0.8628 0.0359 0.7255
0.8628 0.4641 0.7255
0.9740 0.7500 0.9480
0.3034 0.7500 0.6079
0.6966 0.2500 0.3921
0.0475 0.6408 0.0951
0.0475 0.8592 0.0951
0.2260 0.0711 0.4520
0.2260 0.4289 0.4520
0.5000 0.0000 0.0000
0.5000 0.5000 0.0000
0.7740 0.5711 0.5480
0.7740 0.9289 0.5480
0.9525 0.1408 0.9049
0.9525 0.3592 0.9049
```

Most intense lines, 15° ≤ 2θ ≤ 90°, by angle:
- 2θ 27.87, rel. 244
- 2θ 28.40, rel. 553
- 2θ 30.19, rel. 1000
- 2θ 30.69, rel. 249
- 2θ 31.90, rel. 925
- 2θ 33.07, rel. 560
- 2θ 33.74, rel. 247
- 2θ 45.90, rel. 228
- 2θ 46.43, rel. 456
- 2θ 46.61, rel. 316
- 2θ 55.17, rel. 356
- 2θ 56.55, rel. 343

=====

No. 6
For Dy4GaS3, the PBE geometry in Alexandria gives the simulated powder XRD pattern in this record (Cu Ka).

```
Dy4GaS3
1.0
5.6194 0.0000 0.0000
0.0000 5.6194 0.0000
0.0000 0.0000 5.6194
Dy Ga S
4 1 3
direct
0.0000 0.0000 0.0000
0.0000 0.5000 0.5000
0.5000 0.0000 0.5000
0.5000 0.5000 0.0000
0.5000 0.5000 0.5000
0.0000 0.0000 0.5000
0.0000 0.5000 0.0000
0.5000 0.0000 0.0000
```

Most intense lines, 15° ≤ 2θ ≤ 90°, by angle:
- 2θ 15.77, rel. 11
- 2θ 22.37, rel. 11
- 2θ 27.49, rel. 628
- 2θ 31.85, rel. 1000
- 2θ 35.73, rel. 7
- 2θ 45.66, rel. 728
- 2θ 54.13, rel. 308
- 2θ 56.75, rel. 253
- 2θ 66.56, rel. 117
- 2θ 73.45, rel. 126
- 2θ 75.69, rel. 324
- 2θ 84.46, rel. 248

=====

No. 7
For Dy4GaSbS9, the PBE geometry in Alexandria gives the simulated powder XRD pattern in this record (Cu Ka).

```
Dy4GaSbS9
1.0
13.5374 0.0000 0.0000
0.0000 6.9308 7.0973
0.0000 -6.9308 7.0973
Dy Ga Sb S
16 4 4 36
direct
0.0994 0.1723 0.8277
0.1045 0.6543 0.4361
0.1873 0.4453 0.1149
0.1886 0.8977 0.1171
0.3114 0.3977 0.6171
0.3127 0.9453 0.6149
0.3955 0.1543 0.9361
0.4006 0.6723 0.3277
0.5994 0.3277 0.6723
0.6045 0.9361 0.1543
0.6873 0.6149 0.9453
0.6886 0.6171 0.3977
0.8114 0.1171 0.8977
0.8127 0.1149 0.4453
0.8955 0.4361 0.6543
0.9006 0.8277 0.1723
0.0901 0.1657 0.3776
0.4099 0.6657 0.8776
0.5901 0.8776 0.6657
0.9099 0.3776 0.1657
0.1132 0.6517 0.8170
0.3868 0.1517 0.3170
0.6132 0.3170 0.1517
0.8868 0.8170 0.6517
0.0000 0.3654 0.3654
0.0000 0.9936 0.9936
0.0154 0.3750 0.9853
0.0698 0.6789 0.1694
0.0828 0.8348 0.6470
0.0993 0.4689 0.6519
0.1895 0.1671 0.5670
0.1974 0.1690 0.1962
0.2442 0.8445 0.3799
0.2455 0.9859 0.8699
0.2545 0.4859 0.3699
0.2558 0.3445 0.8799
0.3026 0.6690 0.6962
0.3105 0.6671 0.0670
0.4007 0.9689 0.1519
0.4172 0.3348 0.1470
0.4302 0.1789 0.6694
0.4846 0.8750 0.4853
0.5000 0.4936 0.4936
0.5000 0.8654 0.8654
0.5154 0.4853 0.8750
0.5698 0.6694 0.1789
0.5828 0.1470 0.3348
0.5993 0.1519 0.9689
0.6895 0.0670 0.6671
0.6974 0.6962 0.6690
0.7442 0.8799 0.3445
0.7455 0.3699 0.4859
0.7545 0.8699 0.9859
0.7558 0.3799 0.8445
0.8026 0.1962 0.1690
0.8105 0.5670 0.1671
0.9007 0.6519 0.4689
0.9172 0.6470 0.8348
0.9302 0.1694 0.6789
0.9846 0.9853 0.3750
```

Most intense lines, 15° ≤ 2θ ≤ 90°, by angle:
- 2θ 25.09, rel. 596
- 2θ 25.71, rel. 286
- 2θ 26.71, rel. 1000
- 2θ 27.82, rel. 278
- 2θ 30.08, rel. 245
- 2θ 33.60, rel. 432
- 2θ 34.33, rel. 265
- 2θ 36.23, rel. 403
- 2θ 36.86, rel. 214
- 2θ 42.05, rel. 238
- 2θ 47.37, rel. 232
- 2θ 50.66, rel. 428

=====

No. 8
For Dy7Ga5Sb, the PBE geometry in Alexandria gives the simulated powder XRD pattern in this record (Cu Ka).

```
Dy7Ga5Sb
1.0
-3.0571 5.2131 5.1101
3.0571 -5.2131 5.1101
3.0571 5.2131 -5.1101
Dy Ga Sb
7 5 1
direct
0.0000 0.0000 0.0000
0.3168 0.6295 0.6873
0.3847 0.3847 0.0000
0.4220 0.0932 0.3288
0.7644 0.0932 0.6712
0.8458 0.3458 0.5000
0.9423 0.6295 0.3127
0.1162 0.1277 0.5054
0.1162 0.6108 0.9884
0.3506 0.8506 0.5000
0.6223 0.1277 0.0116
0.6223 0.6108 0.4946
0.6869 0.6869 0.0000
```

Most intense lines, 15° ≤ 2θ ≤ 90°, by angle:
- 2θ 24.39, rel. 225
- 2θ 29.21, rel. 506
- 2θ 29.57, rel. 637
- 2θ 30.03, rel. 464
- 2θ 34.18, rel. 256
- 2θ 34.47, rel. 1000
- 2θ 35.12, rel. 319
- 2θ 38.41, rel. 884
- 2θ 38.78, rel. 227
- 2θ 39.20, rel. 397
- 2θ 61.37, rel. 268
- 2θ 65.20, rel. 231

=====

No. 9
For DySc4Ga4, the PBE geometry in Alexandria gives the simulated powder XRD pattern in this record (Cu Ka).

```
DySc4Ga4
1.0
8.8215 0.0000 0.0000
0.0000 8.8215 0.0000
0.0000 0.0000 5.5314
Dy Sc Ga
2 8 8
direct
0.2500 0.2500 0.2500
0.7500 0.7500 0.7500
0.0858 0.6501 0.1312
0.1501 0.9142 0.6312
0.3499 0.5858 0.6312
0.4142 0.8499 0.1312
0.5858 0.1501 0.8688
0.6501 0.4142 0.3688
0.8499 0.0858 0.3688
0.9142 0.3499 0.8688
0.0362 0.6100 0.6341
0.1100 0.9638 0.1341
0.3900 0.5362 0.1341
0.4638 0.8900 0.6341
0.5362 0.1100 0.3659
0.6100 0.4638 0.8659
0.8900 0.0362 0.8659
0.9638 0.3900 0.3659
```

Most intense lines, 15° ≤ 2θ ≤ 90°, by angle:
- 2θ 18.94, rel. 761
- 2θ 27.78, rel. 384
- 2θ 28.62, rel. 136
- 2θ 32.09, rel. 1000
- 2θ 33.97, rel. 312
- 2θ 39.80, rel. 172
- 2θ 40.31, rel. 361
- 2θ 45.00, rel. 262
- 2θ 45.45, rel. 293
- 2θ 46.01, rel. 271
- 2θ 46.22, rel. 140
- 2θ 49.76, rel. 202

=====

No. 10
For DySc2Ga2, the PBE geometry in Alexandria gives the simulated powder XRD pattern in this record (Cu Ka).

```
DySc2Ga2
1.0
5.1458 0.0000 0.0000
0.0000 3.8152 0.0000
-1.3193 0.0000 11.7808
Dy Sc Ga
2 4 4
direct
0.1793 0.2500 0.2336
0.8207 0.7500 0.7664
0.2422 0.7500 0.4730
0.3475 0.2500 0.8941
0.6525 0.7500 0.1059
0.7578 0.2500 0.5270
0.1477 0.7500 0.0323
0.2902 0.2500 0.6577
0.7098 0.7500 0.3423
0.8523 0.2500 0.9677
```

Most intense lines, 15° ≤ 2θ ≤ 90°, by angle:
- 2θ 18.13, rel. 397
- 2θ 29.20, rel. 405
- 2θ 32.07, rel. 1000
- 2θ 32.73, rel. 994
- 2θ 33.92, rel. 788
- 2θ 35.09, rel. 644
- 2θ 36.87, rel. 290
- 2θ 40.32, rel. 526
- 2θ 46.74, rel. 683
- 2θ 47.67, rel. 377
- 2θ 60.55, rel. 253
- 2θ 64.17, rel. 257